# 1
Simulated powder XRD pattern of K3FePCO7 for Cu Ka, from a cell relaxed with PBE+U.

Principal peaks in the range 2θ from 5° to 70°, sorted by position:
d_spacing, 2θ/deg, I (rel.), index
9.663, 9.2, 45, 0 1 0
3.500, 25.4, 30, 0 0 4
3.254, 27.4, 13, 1 -2 2
2.847, 31.4, 90, 1 1 4
2.836, 31.5, 100, 2 0 0
2.802, 31.9, 44, 1 3 0
2.132, 42.4, 18, 2 3 0
2.126, 42.5, 14, 2 -3 0
1.750, 52.3, 18, 0 0 8
1.489, 62.4, 14, 2 0 8

Cell and atoms:
Cell: 5.675 9.663 14.001 Å, 89.97 90.00 89.83°
Element x y z (fractional)
K1 0.243 0.428 0.373
K2 0.244 0.427 0.877
K3 0.255 0.783 0.747
K4 0.255 0.784 0.005
K5 0.255 0.784 0.505
K6 0.255 0.785 0.243
K7 0.745 0.215 0.757
K8 0.745 0.216 0.495
K9 0.745 0.216 0.995
K10 0.745 0.217 0.253
K11 0.756 0.573 0.123
K12 0.757 0.572 0.627
Fe1 0.238 0.147 0.124
Fe2 0.241 0.145 0.626
Fe3 0.759 0.855 0.374
Fe4 0.762 0.853 0.876
P1 0.270 0.079 0.373
P2 0.271 0.082 0.877
P3 0.729 0.918 0.123
P4 0.730 0.921 0.627
C1 0.256 0.421 0.125
C2 0.259 0.418 0.625
C3 0.741 0.582 0.375
C4 0.744 0.579 0.875
O1 0.057 0.353 0.126
O2 0.062 0.346 0.624
O3 0.086 0.961 0.374
O4 0.089 0.963 0.876
O5 0.238 0.172 0.969
O6 0.238 0.177 0.788
O7 0.242 0.170 0.281
O8 0.243 0.174 0.462
O9 0.256 0.551 0.625
O10 0.260 0.554 0.125
O11 0.452 0.348 0.125
O12 0.455 0.347 0.625
O13 0.473 0.978 0.124
O14 0.475 0.985 0.627
O15 0.525 0.015 0.373
O16 0.527 0.022 0.876
O17 0.545 0.653 0.375
O18 0.548 0.652 0.875
O19 0.740 0.446 0.875
O20 0.744 0.449 0.375
O21 0.757 0.826 0.538
O22 0.758 0.830 0.719
O23 0.762 0.823 0.212
O24 0.762 0.828 0.031
O25 0.911 0.037 0.124
O26 0.914 0.039 0.626
O27 0.938 0.654 0.376
O28 0.943 0.647 0.874

---

# 2
Simulated powder XRD pattern of Li9Mn2Co5O16 for Cu Ka, from a cell relaxed with PBE+U.

Principal peaks in the range 2θ from 5° to 70°, sorted by position:
d_spacing, 2θ/deg, I (rel.), index
11.293, 7.8, 8, 0 0 1
4.859, 18.3, 100, 0 1 1
2.519, 35.6, 14, 1 0 4
2.486, 36.1, 12, 1 1 -3
2.467, 36.4, 13, 2 0 0
2.102, 43.0, 28, 1 1 5
2.072, 43.7, 26, 1 2 -2
2.058, 44.0, 26, -2 1 1
1.910, 47.6, 13, -1 1 5
1.480, 62.8, 15, 2 3 3

Cell and atoms:
Cell: 5.014 5.137 11.471 Å, 80.53 84.97 80.40°
Element x y z (fractional)
Li1 0.000 0.000 0.000
Li2 0.238 0.939 0.566
Li3 0.239 0.439 0.056
Li4 0.251 0.188 0.308
Li5 0.252 0.689 0.823
Li6 0.748 0.311 0.177
Li7 0.749 0.812 0.692
Li8 0.761 0.561 0.944
Li9 0.762 0.061 0.434
Mn1 0.498 0.373 0.625
Mn2 0.502 0.627 0.375
Co1 0.000 0.500 0.500
Co2 0.008 0.763 0.241
Co3 0.487 0.127 0.883
Co4 0.513 0.873 0.117
Co5 0.992 0.237 0.759
O1 0.128 0.069 0.165
O2 0.134 0.564 0.646
O3 0.135 0.341 0.897
O4 0.141 0.811 0.411
O5 0.367 0.311 0.474
O6 0.379 0.060 0.711
O7 0.381 0.540 0.234
O8 0.394 0.792 0.969
O9 0.606 0.208 0.031
O10 0.619 0.460 0.766
O11 0.621 0.940 0.289
O12 0.633 0.689 0.526
O13 0.859 0.189 0.589
O14 0.865 0.659 0.103
O15 0.866 0.436 0.354
O16 0.872 0.931 0.835

---

# 3
Simulated powder XRD pattern of CaMg6NiO8 for Cu Ka, from a cell relaxed with PBE+U.

Principal peaks in the range 2θ from 5° to 70°, sorted by position:
d_spacing, 2θ/deg, I (rel.), index
8.633, 10.2, 9, 0 0 1
4.368, 20.3, 14, 1 0 0
4.317, 20.6, 7, 0 0 2
3.088, 28.9, 6, 1 1 0
3.070, 29.1, 11, 1 0 2
2.512, 35.7, 34, 1 1 2
2.184, 41.3, 100, 2 0 0
2.158, 41.9, 47, 0 0 4
1.544, 59.9, 29, 2 2 0
1.535, 60.3, 55, 2 0 4

Cell and atoms:
Cell: 4.368 4.368 8.633 Å, 90.00 90.00 90.00°
Element x y z (fractional)
Ca1 0.000 0.000 0.000
Mg1 0.000 0.500 0.258
Mg2 0.000 0.500 0.742
Mg3 0.500 0.000 0.258
Mg4 0.500 0.000 0.742
Mg5 0.500 0.500 0.000
Mg6 0.500 0.500 0.500
Ni1 0.000 0.000 0.500
O1 0.000 0.000 0.264
O2 0.000 0.000 0.736
O3 0.000 0.500 0.000
O4 0.000 0.500 0.500
O5 0.500 0.000 0.000
O6 0.500 0.000 0.500
O7 0.500 0.500 0.251
O8 0.500 0.500 0.749